Computed X-ray diffraction stick pattern
Compound: RbBiAs6H24C8S12N2
Radiation: copper Kα
Structure: a DFT-relaxed cell (PBE, the Materials Project)
Peak positions follow from Bragg's law for the DFT cell and can differ from measured ones.

The 12 most intense peaks (5° ≤ 2θ ≤ 70°), by angle:
9.25 deg, rel. 100; 11.90 deg, rel. 38; 17.66 deg, rel. 21; 18.54 deg, rel. 41; 23.95 deg, rel. 14; 25.73 deg, rel. 31; 26.91 deg, rel. 16; 27.30 deg, rel. 21; 29.90 deg, rel. 83; 37.11 deg, rel. 16; 41.83 deg, rel. 16; 47.93 deg, rel. 20

Cell and atoms:
a b c (Å): 11.179 11.179 11.179
angles (deg): 53.39 53.39 53.39
Positions (direct):
Rb: 0.000 0.000 0.000
Bi: 0.500 0.500 0.500
As: 0.078 0.807 0.695
As: 0.193 0.305 0.922
As: 0.305 0.922 0.193
As: 0.695 0.078 0.807
As: 0.807 0.695 0.078
As: 0.922 0.193 0.305
H: 0.079 0.488 0.369
H: 0.130 0.269 0.332
H: 0.169 0.215 0.554
H: 0.215 0.554 0.169
H: 0.244 0.517 0.332
H: 0.269 0.332 0.130
H: 0.332 0.130 0.269
H: 0.332 0.244 0.517
H: 0.369 0.079 0.488
H: 0.446 0.831 0.785
H: 0.483 0.668 0.756
H: 0.488 0.369 0.079
H: 0.512 0.631 0.921
H: 0.517 0.332 0.244
H: 0.554 0.169 0.215
H: 0.631 0.921 0.512
H: 0.668 0.756 0.483
H: 0.668 0.870 0.731
H: 0.731 0.668 0.870
H: 0.756 0.483 0.668
H: 0.785 0.446 0.831
H: 0.831 0.785 0.446
H: 0.870 0.731 0.668
H: 0.921 0.512 0.631
C: 0.204 0.480 0.294
C: 0.256 0.256 0.256
C: 0.294 0.204 0.480
C: 0.480 0.294 0.204
C: 0.520 0.706 0.796
C: 0.706 0.796 0.520
C: 0.744 0.744 0.744
C: 0.796 0.520 0.706
S: 0.044 0.925 0.327
S: 0.075 0.673 0.956
S: 0.206 0.449 0.670
S: 0.327 0.044 0.925
S: 0.330 0.794 0.551
S: 0.449 0.670 0.206
S: 0.551 0.330 0.794
S: 0.670 0.206 0.449
S: 0.673 0.956 0.075
S: 0.794 0.551 0.330
S: 0.925 0.327 0.044
S: 0.956 0.075 0.673
N: 0.308 0.308 0.308
N: 0.692 0.692 0.692

Computed X-ray diffraction stick pattern
Compound: Li2BiAsCO7
Radiation: copper Kα
Structure: a DFT-relaxed cell (PBE, the Materials Project)
Peak positions follow from Bragg's law for the DFT cell and can differ from measured ones.

The 12 most intense peaks (5° ≤ 2θ ≤ 70°), by angle:
9.47 deg, rel. 100; 15.57 deg, rel. 26; 19.71 deg, rel. 55; 21.27 deg, rel. 24; 24.83 deg, rel. 46; 25.70 deg, rel. 21; 25.84 deg, rel. 29; 26.62 deg, rel. 16; 28.65 deg, rel. 19; 31.90 deg, rel. 27; 36.04 deg, rel. 20; 36.14 deg, rel. 16

Cell and atoms:
a b c (Å): 5.139 7.173 9.344
angles (deg): 90.00 90.30 90.00
Positions (direct):
Li: 0.213 0.057 0.210
Li: 0.213 0.443 0.210
Li: 0.787 0.557 0.790
Li: 0.787 0.943 0.790
Bi: 0.221 0.250 0.640
Bi: 0.779 0.750 0.360
As: 0.272 0.750 0.613
As: 0.728 0.250 0.387
C: 0.256 0.250 0.931
C: 0.744 0.750 0.069
O: 0.032 0.250 0.860
O: 0.121 0.559 0.688
O: 0.121 0.941 0.688
O: 0.227 0.750 0.428
O: 0.261 0.250 0.067
O: 0.399 0.250 0.359
O: 0.468 0.250 0.853
O: 0.532 0.750 0.147
O: 0.601 0.750 0.641
O: 0.739 0.750 0.933
O: 0.773 0.250 0.572
O: 0.879 0.059 0.312
O: 0.879 0.441 0.312
O: 0.968 0.750 0.140